Computed XRD peak list
Compound: CaV4O8
Radiation: copper Kα
Structure: the PBE+U geometry in Alexandria
Kinematic intensities with the Lorentz-polarization factor, no thermal factor.

Most intense lines, 10 to 80 degrees two-theta, low angle first:
- 2θ = 12.37°, rel. 50
- 2θ = 12.53°, rel. 55
- 2θ = 17.22°, rel. 71
- 2θ = 18.06°, rel. 40
- 2θ = 28.50°, rel. 39
- 2θ = 28.71°, rel. 57
- 2θ = 34.85°, rel. 100
- 2θ = 34.98°, rel. 48
- 2θ = 35.31°, rel. 38
- 2θ = 39.99°, rel. 45

Crystal structure
```
CaV4O8
1.0
7.0730 -1.5548 0.0000
7.0730 1.5548 0.0000
-6.7334 0.0000 7.1536
Ca V O
1 4 8
Cartesian
0.0000 0.0000 0.0000
-2.6251 0.0000 6.5198
2.3168 0.0000 4.2222
6.7434 0.0000 4.2105
11.5667 0.0000 1.9988
-3.9364 0.0000 5.2723
-1.0665 0.0000 3.3043
0.6166 0.0000 5.4138
3.6323 0.0000 2.8437
5.5494 0.0000 0.8299
10.4265 0.0000 0.3567
5.5014 0.0000 5.7010
8.3361 0.0000 3.3364
```